[1]
Diffraction record for Tl3Hg3O. The powder diffractogram is theoretical, not measured: it uses a DFT-relaxed cell (PBE, Alexandria) and Cu Ka.
No peak broadening, texture or thermal motion is included.

Main lines, sorted by position (2θ = 10–80°):
Position (°2θ), Rel. int.
27.1, 674
28.0, 1000
31.1, 259
39.4, 817
41.7, 235
65.6, 258

Cell and atoms:
Cell lengths 11.503, 11.503, 6.573 Å; angles 90.00, 90.00, 90.00 degrees
Fractional positions:
Tl1 0.096 0.318 0.000
Tl2 0.103 0.897 0.000
Tl3 0.182 0.596 0.500
Tl4 0.318 0.096 0.000
Tl5 0.397 0.397 0.500
Tl6 0.404 0.818 0.500
Tl7 0.596 0.182 0.500
Tl8 0.603 0.603 0.500
Tl9 0.682 0.904 0.000
Tl10 0.818 0.404 0.500
Tl11 0.897 0.103 0.000
Tl12 0.904 0.682 0.000
Hg1 0.102 0.299 0.500
Hg2 0.103 0.897 0.500
Hg3 0.201 0.602 0.000
Hg4 0.299 0.102 0.500
Hg5 0.397 0.397 0.000
Hg6 0.398 0.799 0.000
Hg7 0.602 0.201 0.000
Hg8 0.603 0.603 0.000
Hg9 0.701 0.898 0.500
Hg10 0.799 0.398 0.000
Hg11 0.897 0.103 0.500
Hg12 0.898 0.701 0.500
O1 0.111 0.111 0.000
O2 0.389 0.611 0.500
O3 0.611 0.389 0.500
O4 0.889 0.889 0.000

[2]
Diffraction record for Tl5Hg2O. The powder diffractogram is theoretical, not measured: it uses a DFT-relaxed cell (PBE, Alexandria) and Cu Ka.
No peak broadening, texture or thermal motion is included.

Main lines, sorted by position (2θ = 10–80°):
Position (°2θ), Rel. int.
27.6, 400
28.6, 877
29.1, 387
31.8, 1000
32.4, 611
33.6, 310

Cell and atoms:
Cell lengths 6.654, 11.265, 6.557 Å; angles 90.00, 107.67, 90.00 degrees
Fractional positions:
Tl1 0.000 0.000 0.000
Tl2 0.015 0.500 0.046
Tl3 0.429 0.321 0.454
Tl4 0.429 0.679 0.454
Tl5 0.461 0.000 0.537
Tl6 0.500 0.500 0.000
Tl7 0.515 0.000 0.046
Tl8 0.929 0.179 0.454
Tl9 0.929 0.821 0.454
Tl10 0.961 0.500 0.537
Hg1 0.261 0.247 0.941
Hg2 0.261 0.753 0.941
Hg3 0.761 0.253 0.941
Hg4 0.761 0.747 0.941
O1 0.088 0.000 0.390
O2 0.588 0.500 0.390

[3]
Diffraction record for Tl8Hg2O3. The powder diffractogram is theoretical, not measured: it uses a DFT-relaxed cell (PBE, Alexandria) and Cu Ka.
No peak broadening, texture or thermal motion is included.

Main lines, sorted by position (2θ = 10–80°):
Position (°2θ), Rel. int.
29.2, 386
29.7, 642
31.3, 1000
32.3, 252
33.7, 924
52.1, 244

Cell and atoms:
Cell lengths 9.813, 9.813, 6.217 Å; angles 98.62, 98.62, 42.93 degrees
Fractional positions:
Tl1 0.089 0.089 0.881
Tl2 0.167 0.669 0.627
Tl3 0.331 0.833 0.373
Tl4 0.415 0.415 0.123
Tl5 0.585 0.585 0.877
Tl6 0.669 0.167 0.627
Tl7 0.833 0.331 0.373
Tl8 0.911 0.911 0.119
Hg1 0.247 0.247 0.398
Hg2 0.753 0.753 0.602
O1 0.000 0.000 0.500
O2 0.250 0.750 0.000
O3 0.750 0.250 0.000

[4]
Diffraction record for UHgO4. The powder diffractogram is theoretical, not measured: it uses a DFT-relaxed cell (PBE, Alexandria) and Cu Ka.
No peak broadening, texture or thermal motion is included.

Main lines, sorted by position (2θ = 10–80°):
Position (°2θ), Rel. int.
26.0, 1000
28.3, 783
29.3, 360
30.6, 292
45.7, 240
46.6, 232

Cell and atoms:
Cell lengths 5.900, 5.222, 6.160 Å; angles 90.00, 97.85, 90.00 degrees
Fractional positions:
U1 0.000 0.000 0.000
U2 0.000 0.500 0.500
Hg1 0.500 0.000 0.500
Hg2 0.500 0.500 0.000
O1 0.124 0.249 0.739
O2 0.124 0.251 0.239
O3 0.299 0.691 0.554
O4 0.299 0.809 0.054
O5 0.701 0.191 0.946
O6 0.701 0.309 0.446
O7 0.876 0.749 0.761
O8 0.876 0.751 0.261